Record 1
Starting from a structure optimized by DFT (GGA-PBE), the XRD peak list of TbPr8Ho6 was computed for Cu Kα.

Cell and atoms:
abc: 9.4828 9.4828 6.6079
angles: 90.00 90.00 120.00
Fractional positions:
1 Tb 0.0000 0.0000 0.0000
2 Pr 0.0385 0.7503 0.6685
3 Pr 0.2497 0.2882 0.6685
4 Pr 0.2882 0.0385 0.3315
5 Pr 0.3333 0.6667 0.6204
6 Pr 0.6667 0.3333 0.3796
7 Pr 0.7118 0.9615 0.6685
8 Pr 0.7503 0.7118 0.3315
9 Pr 0.9615 0.2497 0.3315
10 Ho 0.0953 0.6570 0.1570
11 Ho 0.3430 0.4383 0.1570
12 Ho 0.4383 0.0953 0.8430
13 Ho 0.5617 0.9047 0.1570
14 Ho 0.6570 0.5617 0.8430
15 Ho 0.9047 0.3430 0.8430

Most intense lines, 2θ = 15–90°, sorted by position:
Position (°2θ), intensity
25.54, 25
28.76, 35
29.13, 24
31.85, 100
32.71, 21
33.05, 56
50.36, 18
50.96, 14

=====

Record 2
Starting from a structure optimized by DFT (GGA-PBE), the XRD peak list of CeDy2Tl5 was computed for Cu Kα.

Cell and atoms:
abc: 6.6721 6.6721 6.6721
angles: 106.82 106.82 114.92
Fractional positions:
1 Ce 0.0000 0.0000 0.0000
2 Dy 0.4993 0.9993 0.5000
3 Dy 0.9993 0.4993 0.5000
4 Tl 0.4992 0.4992 0.0000
5 Tl 0.4996 0.4996 0.5004
6 Tl 0.4996 0.9992 0.0000
7 Tl 0.9992 0.4996 0.0000
8 Tl 0.9992 0.9992 0.4996

Most intense lines, 2θ = 15–90°, sorted by position:
Position (°2θ), intensity
31.82, 58
33.64, 100
45.62, 22
57.86, 43
61.28, 18
70.72, 12
75.60, 10
76.62, 10

=====

Record 3
Starting from a structure optimized by DFT (GGA-PBE), the XRD peak list of Tm5As4O was computed for Cu Kα.

Cell and atoms:
abc: 6.8422 6.8422 6.8422
angles: 100.01 100.01 130.72
Fractional positions:
1 Tm 0.0000 0.0000 0.0000
2 Tm 0.2837 0.6675 0.8117
3 Tm 0.4720 0.2837 0.6161
4 Tm 0.6675 0.8558 0.3839
5 Tm 0.8558 0.4720 0.1883
6 As 0.1644 0.3701 0.3947
7 As 0.3701 0.9754 0.2057
8 As 0.7697 0.1644 0.7943
9 As 0.9754 0.7697 0.6053
10 O 0.6234 0.6234 0.0000

Most intense lines, 2θ = 15–90°, sorted by position:
Position (°2θ), intensity
27.54, 56
31.36, 49
32.18, 100
45.55, 71
46.16, 35
54.60, 16
56.86, 34
85.09, 20

=====

Record 4
Starting from a structure optimized by DFT (GGA-PBE), the XRD peak list of Ce5Dy5Ru6 was computed for Cu Kα.

Cell and atoms:
abc: 6.2405 8.3922 8.3922
angles: 122.77 90.00 90.00
Fractional positions:
1 Ce 0.0000 0.0000 0.0000
2 Ce 0.2518 0.5916 0.9357
3 Ce 0.2518 0.9357 0.5916
4 Ce 0.7482 0.5916 0.9357
5 Ce 0.7482 0.9357 0.5916
6 Dy 0.0000 0.2690 0.5097
7 Dy 0.0000 0.5097 0.2690
8 Dy 0.5000 0.0241 0.2633
9 Dy 0.5000 0.2633 0.0241
10 Dy 0.5000 0.5209 0.5209
11 Ru 0.0000 0.2399 0.8531
12 Ru 0.0000 0.6836 0.6836
13 Ru 0.0000 0.8531 0.2399
14 Ru 0.5000 0.2843 0.6839
15 Ru 0.5000 0.6839 0.2843
16 Ru 0.5000 0.8655 0.8655

Most intense lines, 2θ = 15–90°, sorted by position:
Position (°2θ), intensity
28.61, 38
32.36, 38
35.49, 76
35.88, 100
36.07, 55
36.45, 50
37.02, 68
38.26, 42

=====

Record 5
Starting from a structure optimized by DFT (GGA-PBE), the XRD peak list of Ac2Se2SO2 was computed for Cu Kα.

Cell and atoms:
abc: 4.2087 4.2087 12.2175
angles: 90.00 90.00 120.00
Fractional positions:
1 Ac 0.3333 0.6667 0.1313
2 Ac 0.6667 0.3333 0.8687
3 Se 0.0000 0.0000 0.3088
4 Se 0.0000 0.0000 0.6912
5 S 0.0000 0.0000 0.5000
6 O 0.3333 0.6667 0.9243
7 O 0.6667 0.3333 0.0757

Most intense lines, 2θ = 15–90°, sorted by position:
Position (°2θ), intensity
25.50, 100
28.52, 73
32.98, 46
38.45, 20
42.98, 40
44.65, 19
52.40, 17
70.02, 20

=====

Record 6
Starting from a structure optimized by DFT (GGA-PBE), the XRD peak list of Cs3Na3CdBr8 was computed for Cu Kα.

Cell and atoms:
abc: 8.9643 8.9643 9.7505
angles: 117.40 117.40 59.90
Fractional positions:
1 Cs 0.0000 0.0000 0.0000
2 Cs 0.0000 0.5000 0.0000
3 Cs 0.5000 0.0000 0.0000
4 Na 0.0000 0.5000 0.5000
5 Na 0.5000 0.0000 0.5000
6 Na 0.5000 0.5000 0.5000
7 Cd 0.0000 0.0000 0.5000
8 Br 0.2172 0.2172 0.6869
9 Br 0.2177 0.7522 0.6871
10 Br 0.2478 0.7823 0.3129
11 Br 0.2669 0.2669 0.3013
12 Br 0.7331 0.7331 0.6987
13 Br 0.7522 0.2177 0.6871
14 Br 0.7823 0.2478 0.3129
15 Br 0.7828 0.7828 0.3131

Most intense lines, 2θ = 15–90°, sorted by position:
Position (°2θ), intensity
22.58, 11
27.12, 100
29.23, 21
37.14, 28
40.26, 37
49.22, 18
52.67, 14
65.37, 10